No. 1
This entry pairs a crystal structure of Si3O with its computed powder XRD pattern. Radiation: Cu Kα. Structure: the GGA-PBE geometry in the Materials Project.
Neutral-atom scattering factors, no anomalous dispersion.

Largest 10 diffraction maxima, low angle first, 2θ from 5° to 70°:
25.14 deg, I = 47.5; 26.02 deg, I = 100.0; 27.28 deg, I = 52.5; 41.98 deg, I = 27.2; 42.92 deg, I = 13.7; 43.47 deg, I = 14.0; 44.74 deg, I = 34.3; 51.44 deg, I = 7.1; 52.57 deg, I = 8.5; 59.34 deg, I = 7.5

Structural model:
Unit cell a=9.4991 b=9.4991 c=8.3573 alpha=107.41 beta=107.41 gamma=25.63
Sites, in units of the cell vectors:
Si (0.0298, 0.0708, 0.1219)
Si (0.0708, 0.0298, 0.6219)
Si (0.2370, 0.3672, 0.5365)
Si (0.3621, 0.3906, 0.3373)
Si (0.3672, 0.2370, 0.0365)
Si (0.3906, 0.3621, 0.8373)
Si (0.6094, 0.6379, 0.1627)
Si (0.6328, 0.7630, 0.9635)
Si (0.6379, 0.6094, 0.6627)
Si (0.7630, 0.6328, 0.4635)
Si (0.9292, 0.9702, 0.3781)
Si (0.9702, 0.9292, 0.8781)
O (0.0000, 0.5000, 0.0000)
O (0.0887, 0.9113, 0.7500)
O (0.5000, 0.0000, 0.5000)
O (0.9113, 0.0887, 0.2500)



No. 2
This entry pairs a crystal structure of ZnSe with its computed powder XRD pattern. Radiation: Cu Kα. Structure: the GGA-PBE geometry in the Materials Project.
Neutral-atom scattering factors, no anomalous dispersion.

Largest 10 diffraction maxima, low angle first, 2θ from 5° to 70°:
14.59 deg, I = 83.6; 26.19 deg, I = 100.0; 34.22 deg, I = 37.8; 43.11 deg, I = 92.0; 44.09 deg, I = 43.1; 46.69 deg, I = 17.1; 50.26 deg, I = 16.1; 52.01 deg, I = 29.1; 64.12 deg, I = 13.6; 69.06 deg, I = 12.3

Structural model:
Unit cell a=4.1077 b=4.1077 c=6.0704 alpha=90.00 beta=90.00 gamma=90.00
Sites, in units of the cell vectors:
Zn (0.2500, 0.7500, 0.0000)
Zn (0.7500, 0.2500, 0.0000)
Se (0.2500, 0.2500, 0.2463)
Se (0.7500, 0.7500, 0.7537)